Theoretical XRD peak list of NaDySe2 for Cu Kα, from a PBE-relaxed structure.
Lines closer than 0.1° are merged.

Most intense lines, 2θ = 15–90°, by intensity:
2theta	I (rel.)	index
17.35	100	1 1 0
35.11	83	2 2 0
37.04	63	1 1 2
26.09	50	1 1 -2
44.96	46	1 3 -2
34.46	44	3 1 -2
35.74	38	2 2 -2
26.67	28	0 0 2

Structure:
```
data_NaDySe2
_chemical_formula_sum 'Na4 Dy4 Se8'
_cell_length_a 8.666
_cell_length_b 7.069
_cell_length_c 7.827
_cell_angle_alpha 90.00
_cell_angle_beta 121.34
_cell_angle_gamma 90.00
_symmetry_space_group_name_H-M 'C 1 2 1'
_symmetry_Int_Tables_number 5
loop_
_symmetry_equiv_pos_as_xyz
'x,y,z'
'-x,y,-z'
'x+1/2,y+1/2,z'
'-x+1/2,y+1/2,-z'
loop_
_atom_site_label
_atom_site_fract_x
_atom_site_fract_y
_atom_site_fract_z
Na1 0.000 0.000 0.247
Dy1 0.000 0.555 0.250
Se1 0.224 0.758 0.624
Se2 0.225 0.757 0.125
```

Theoretical XRD peak list of DyNbSO2 for Cu Kα, from a PBE-relaxed structure.
Lines closer than 0.1° are merged.

Most intense lines, 2θ = 15–90°, by intensity:
2theta	I (rel.)	index
31.55	100	1 0 1
40.38	33	0 1 2
49.69	31	1 1 0
52.34	25	1 0 3
28.08	24	1 0 0
28.43	23	0 0 2
58.24	18	1 1 2
60.06	16	0 2 1

Structure:
```
data_DyNbSO2
_chemical_formula_sum 'Dy1 Nb1 S1 O2'
_cell_length_a 3.6697
_cell_length_b 3.6697
_cell_length_c 6.2787
_cell_angle_alpha 90.00
_cell_angle_beta 90.00
_cell_angle_gamma 120.00
_symmetry_space_group_name_H-M 'P 3 m 1'
_symmetry_Int_Tables_number 156
loop_
_symmetry_equiv_pos_as_xyz
'x,y,z'
'-y,x-y,z'
'-x+y,-x,z'
'-y,-x,z'
'-x+y,y,z'
'x,x-y,z'
loop_
_atom_site_label
_atom_site_fract_x
_atom_site_fract_y
_atom_site_fract_z
Dy1 0.0000 0.0000 0.0000
Nb1 0.6667 0.3333 0.4440
S1 0.3333 0.6667 0.6944
O1 0.0000 0.0000 0.3634
O2 0.6667 0.3333 0.0939
```

Theoretical XRD peak list of Dy3NbS3O4 for Cu Kα, from a PBE-relaxed structure.
Lines closer than 0.1° are merged.

Most intense lines, 2θ = 15–90°, by intensity:
2theta	I (rel.)	index
30.27	100	1 2 2
28.65	55	1 0 4
45.43	32	0 2 6
38.68	30	2 2 2
27.21	30	2 0 0
53.76	21	2 2 6
50.03	21	3 2 2
48.69	18	0 4 0

Structure:
```
data_Dy3NbS3O4
_chemical_formula_sum 'Dy12 Nb4 S12 O16'
_cell_length_a 6.555
_cell_length_b 7.481
_cell_length_c 14.167
_cell_angle_alpha 90.00
_cell_angle_beta 90.00
_cell_angle_gamma 90.00
_symmetry_space_group_name_H-M 'P n m a'
_symmetry_Int_Tables_number 62
loop_
_symmetry_equiv_pos_as_xyz
'x,y,z'
'-x,-y,-z'
'-x+1/2,-y,z+1/2'
'x+1/2,y,-z+1/2'
'x+1/2,-y+1/2,-z+1/2'
'-x+1/2,y+1/2,z+1/2'
'-x,y+1/2,-z'
'x,-y+1/2,z'
loop_
_atom_site_label
_atom_site_fract_x
_atom_site_fract_y
_atom_site_fract_z
Dy1 0.220 0.005 0.160
Dy2 0.223 0.250 0.919
Nb1 0.192 0.750 0.929
S1 0.000 0.000 0.500
S2 0.003 0.750 0.274
S3 0.041 0.250 0.296
O1 0.122 0.522 0.876
O2 0.134 0.250 0.072
O3 0.146 0.750 0.066
```

Theoretical XRD peak list of DyTmNb2Si2 for Cu Kα, from a PBE-relaxed structure.
Lines closer than 0.1° are merged.

Most intense lines, 2θ = 15–90°, by intensity:
2theta	I (rel.)	index
33.79	100	1 1 1
32.27	78	1 0 2
25.10	58	1 0 1
39.55	48	1 1 2
45.40	48	2 0 0
34.91	36	0 0 3
58.52	32	2 0 3
56.79	31	2 1 2

Structure:
```
data_DyTmNb2Si2
_chemical_formula_sum 'Dy1 Tm1 Nb2 Si2'
_cell_length_a 3.995
_cell_length_b 3.995
_cell_length_c 7.710
_cell_angle_alpha 90.00
_cell_angle_beta 90.00
_cell_angle_gamma 90.00
_symmetry_space_group_name_H-M 'P 4 m m'
_symmetry_Int_Tables_number 99
loop_
_symmetry_equiv_pos_as_xyz
'x,y,z'
'-y,x,z'
'-x,-y,z'
'y,-x,z'
'-x,y,z'
'y,x,z'
'x,-y,z'
'-y,-x,z'
loop_
_atom_site_label
_atom_site_fract_x
_atom_site_fract_y
_atom_site_fract_z
Dy1 0.000 0.000 0.000
Tm1 0.500 0.500 0.293
Nb1 0.000 0.500 0.644
Si1 0.000 0.000 0.402
Si2 0.500 0.500 0.886
```

Theoretical XRD peak list of DyNbTc for Cu Kα, from a PBE-relaxed structure.
Lines closer than 0.1° are merged.

Most intense lines, 2θ = 15–90°, by intensity:
2theta	I (rel.)	index
39.84	100	2 2 0
72.34	34	4 2 2
27.88	28	2 0 0
24.09	25	1 1 1
57.62	17	4 0 0
47.10	12	3 1 1
85.92	11	4 4 0
65.20	10	4 2 0

Structure:
```
data_DyNbTc
_chemical_formula_sum 'Dy4 Nb4 Tc4'
_cell_length_a 6.399
_cell_length_b 6.399
_cell_length_c 6.399
_cell_angle_alpha 90.00
_cell_angle_beta 90.00
_cell_angle_gamma 90.00
_symmetry_space_group_name_H-M 'F -4 3 m'
_symmetry_Int_Tables_number 216
_symmetry_space_group_name_Hall 'F -4 2 3'
loop_
_atom_site_label
_atom_site_fract_x
_atom_site_fract_y
_atom_site_fract_z
Dy1 0.000 0.000 0.000
Nb1 0.250 0.250 0.250
Tc1 0.000 0.000 0.500
```

Theoretical XRD peak list of NdDyNi2P4 for Cu Kα, from a PBE-relaxed structure.
Lines closer than 0.1° are merged.

Most intense lines, 2θ = 15–90°, by intensity:
2theta	I (rel.)	index
38.70	100	1 1 2
25.45	81	1 0 1
36.77	51	1 0 3
48.49	33	2 0 0
62.37	21	2 1 3
83.93	21	3 1 2
55.55	20	2 1 1
37.23	19	0 0 4

Structure:
```
data_NdDyNi2P4
_chemical_formula_sum 'Nd1 Dy1 Ni2 P4'
_cell_length_a 3.754
_cell_length_b 3.754
_cell_length_c 9.661
_cell_angle_alpha 90.00
_cell_angle_beta 90.00
_cell_angle_gamma 90.00
_symmetry_space_group_name_H-M 'P 4 m m'
_symmetry_Int_Tables_number 99
loop_
_symmetry_equiv_pos_as_xyz
'x,y,z'
'-y,x,z'
'-x,-y,z'
'y,-x,z'
'-x,y,z'
'y,x,z'
'x,-y,z'
'-y,-x,z'
loop_
_atom_site_label
_atom_site_fract_x
_atom_site_fract_y
_atom_site_fract_z
Nd1 0.000 0.000 0.000
Dy1 0.500 0.500 0.534
Ni1 0.000 0.500 0.274
P1 0.000 0.000 0.407
P2 0.000 0.500 0.761
P3 0.500 0.500 0.144
```

Theoretical XRD peak list of NdDyNi2Pb for Cu Kα, from a PBE-relaxed structure.
Lines closer than 0.1° are merged.

Most intense lines, 2θ = 15–90°, by intensity:
2theta	I (rel.)	index
33.20	100	1 1 1
34.36	68	1 0 4
28.82	50	0 1 3
38.18	34	0 1 5
57.80	31	1 2 4
44.98	23	0 2 0
55.49	20	1 1 7
48.52	18	2 0 0

Structure:
```
data_NdDyNi2Pb
_chemical_formula_sum 'Nd2 Dy2 Ni4 Pb2'
_cell_length_a 3.752
_cell_length_b 4.031
_cell_length_c 14.529
_cell_angle_alpha 90.00
_cell_angle_beta 90.00
_cell_angle_gamma 90.00
_symmetry_space_group_name_H-M 'A m m 2'
_symmetry_Int_Tables_number 38
loop_
_symmetry_equiv_pos_as_xyz
'x,y,z'
'-x,-y,z'
'-x,y,z'
'x,-y,z'
'x,y+1/2,z+1/2'
'-x,-y+1/2,z+1/2'
'-x,y+1/2,z+1/2'
'x,-y+1/2,z+1/2'
loop_
_atom_site_label
_atom_site_fract_x
_atom_site_fract_y
_atom_site_fract_z
Nd1 0.000 0.000 0.000
Dy1 0.000 0.000 0.278
Ni1 0.500 0.000 0.432
Ni2 0.500 0.000 0.836
Pb1 0.500 0.000 0.642
```

Theoretical XRD peak list of NdDySi2Ni2 for Cu Kα, from a PBE-relaxed structure.
Lines closer than 0.1° are merged.

Most intense lines, 2θ = 15–90°, by intensity:
2theta	I (rel.)	index
25.62	100	1 0 1
41.50	77	1 1 2
34.91	64	1 0 2
44.29	55	2 0 0
33.83	52	1 1 1
30.92	33	1 1 0
51.86	30	2 1 1
57.60	30	2 1 2

Structure:
```
data_NdDySi2Ni2
_chemical_formula_sum 'Nd1 Dy1 Si2 Ni2'
_cell_length_a 4.090
_cell_length_b 4.090
_cell_length_c 6.606
_cell_angle_alpha 90.00
_cell_angle_beta 90.00
_cell_angle_gamma 90.00
_symmetry_space_group_name_H-M 'P 4 m m'
_symmetry_Int_Tables_number 99
loop_
_symmetry_equiv_pos_as_xyz
'x,y,z'
'-y,x,z'
'-x,-y,z'
'y,-x,z'
'-x,y,z'
'y,x,z'
'x,-y,z'
'-y,-x,z'
loop_
_atom_site_label
_atom_site_fract_x
_atom_site_fract_y
_atom_site_fract_z
Nd1 0.000 0.000 0.000
Dy1 0.500 0.500 0.633
Si1 0.000 0.000 0.515
Si2 0.500 0.500 0.146
Ni1 0.000 0.500 0.329
```

Theoretical XRD peak list of NdDyO4 for Cu Kα, from a PBE-relaxed structure.
Lines closer than 0.1° are merged.

Most intense lines, 2θ = 15–90°, by intensity:
2theta	I (rel.)	index
29.80	100	1 1 -1
28.71	46	0 0 2
31.29	36	1 1 1
26.30	31	2 0 0
46.78	30	3 1 0
31.51	29	2 0 1
50.58	29	1 1 -3
58.47	25	3 1 2

Structure:
```
data_NdDyO4
_chemical_formula_sum 'Nd2 Dy2 O8'
_cell_length_a 6.824
_cell_length_b 3.802
_cell_length_c 6.262
_cell_angle_alpha 90.00
_cell_angle_beta 96.71
_cell_angle_gamma 90.00
_symmetry_space_group_name_H-M 'C 1 m 1'
_symmetry_Int_Tables_number 8
loop_
_symmetry_equiv_pos_as_xyz
'x,y,z'
'x,-y,z'
'x+1/2,y+1/2,z'
'x+1/2,-y+1/2,z'
loop_
_atom_site_label
_atom_site_fract_x
_atom_site_fract_y
_atom_site_fract_z
Nd1 0.000 0.000 0.000
Dy1 0.128 0.500 0.540
O1 0.164 0.500 0.905
O2 0.224 0.000 0.341
O3 0.399 0.000 0.220
O4 0.460 0.500 0.615
```

Theoretical XRD peak list of NdDy2O3 for Cu Kα, from a PBE-relaxed structure.
Lines closer than 0.1° are merged.

Most intense lines, 2θ = 15–90°, by intensity:
2theta	I (rel.)	index
36.88	100	0 1 2
31.85	97	1 0 1
53.30	34	1 1 0
52.98	34	1 0 4
31.61	33	0 0 3
63.30	29	1 1 3
66.57	17	2 0 2
63.02	15	0 1 5

Structure:
```
data_NdDy2O3
_chemical_formula_sum 'Nd1 Dy2 O3'
_cell_length_a 3.4377
_cell_length_b 3.4377
_cell_length_c 8.4910
_cell_angle_alpha 90.00
_cell_angle_beta 90.00
_cell_angle_gamma 120.00
_symmetry_space_group_name_H-M 'P -3 m 1'
_symmetry_Int_Tables_number 164
_symmetry_space_group_name_Hall '-P 3 2"'
loop_
_atom_site_label
_atom_site_fract_x
_atom_site_fract_y
_atom_site_fract_z
Nd1 0.0000 0.0000 0.0000
Dy1 0.3333 0.6667 0.6645
O1 0.0000 0.0000 0.5000
O2 0.3333 0.6667 0.1947
```

Theoretical XRD peak list of NdDyTeO2 for Cu Kα, from a PBE-relaxed structure.
Lines closer than 0.1° are merged.

Most intense lines, 2θ = 15–90°, by intensity:
2theta	I (rel.)	index
30.87	100	1 0 3
31.79	40	1 1 0
56.06	37	2 1 3
54.33	22	1 1 6
45.57	20	2 0 0
64.33	10	2 0 6
88.59	10	2 1 9
42.85	9	0 0 6

Structure:
```
data_NdDyTeO2
_chemical_formula_sum 'Nd2 Dy2 Te2 O4'
_cell_length_a 3.981
_cell_length_b 3.981
_cell_length_c 12.663
_cell_angle_alpha 90.00
_cell_angle_beta 90.00
_cell_angle_gamma 90.00
_symmetry_space_group_name_H-M 'I 4 m m'
_symmetry_Int_Tables_number 107
_symmetry_space_group_name_Hall 'I 4 -2'
loop_
_atom_site_label
_atom_site_fract_x
_atom_site_fract_y
_atom_site_fract_z
Nd1 0.000 0.000 0.000
Dy1 0.000 0.000 0.679
Te1 0.000 0.000 0.341
O1 0.000 0.500 0.097
```

Theoretical XRD peak list of NdDyZn2Pb2 for Cu Kα, from a PBE-relaxed structure.
Lines closer than 0.1° are merged.

Most intense lines, 2θ = 15–90°, by intensity:
2theta	I (rel.)	index
31.30	100	1 0 4
38.82	73	1 1 0
27.64	45	1 0 3
45.08	29	1 0 7
50.69	26	2 0 4
65.63	24	2 1 4
60.57	15	1 1 8
70.29	13	3 0 0

Structure:
```
data_NdDyZn2Pb2
_chemical_formula_sum 'Nd2 Dy2 Zn4 Pb4'
_cell_length_a 4.6393
_cell_length_b 4.6393
_cell_length_c 16.2587
_cell_angle_alpha 90.00
_cell_angle_beta 90.00
_cell_angle_gamma 120.00
_symmetry_space_group_name_H-M 'P 63/m m c'
_symmetry_Int_Tables_number 194
_symmetry_space_group_name_Hall '-P 6c 2c'
loop_
_atom_site_label
_atom_site_fract_x
_atom_site_fract_y
_atom_site_fract_z
Nd1 0.0000 0.0000 0.2500
Dy1 0.0000 0.0000 0.0000
Zn1 0.3333 0.6667 0.1620
Pb1 0.3333 0.6667 0.6077
```

Theoretical XRD peak list of Nd2DySn3PdPt2 for Cu Kα, from a PBE-relaxed structure.
Lines closer than 0.1° are merged.

Most intense lines, 2θ = 15–90°, by intensity:
2theta	I (rel.)	index
32.12	100	1 3 1
34.96	96	1 4 0
36.02	32	0 1 3
44.27	29	2 0 0
41.04	28	0 3 3
42.46	24	1 4 2
58.36	23	2 1 3
65.91	21	1 7 3

Structure:
```
data_Nd2DySn3PdPt2
_chemical_formula_sum 'Nd4 Dy2 Sn6 Pd2 Pt4'
_cell_length_a 4.092
_cell_length_b 13.154
_cell_length_c 7.627
_cell_angle_alpha 90.00
_cell_angle_beta 90.00
_cell_angle_gamma 90.00
_symmetry_space_group_name_H-M 'A m m 2'
_symmetry_Int_Tables_number 38
loop_
_symmetry_equiv_pos_as_xyz
'x,y,z'
'-x,-y,z'
'-x,y,z'
'x,-y,z'
'x,y+1/2,z+1/2'
'-x,-y+1/2,z+1/2'
'-x,y+1/2,z+1/2'
'x,-y+1/2,z+1/2'
loop_
_atom_site_label
_atom_site_fract_x
_atom_site_fract_y
_atom_site_fract_z
Nd1 0.000 0.206 0.000
Dy1 0.000 0.000 0.615
Sn1 0.500 0.000 0.951
Sn2 0.500 0.126 0.335
Pd1 0.000 0.000 0.211
Pt1 0.500 0.162 0.704
```

Theoretical XRD peak list of Nd2DySn3Pd3 for Cu Kα, from a PBE-relaxed structure.
Lines closer than 0.1° are merged.

Most intense lines, 2θ = 15–90°, by intensity:
2theta	I (rel.)	index
32.12	100	1 3 1
34.95	92	1 4 0
36.01	34	0 1 3
44.29	27	2 0 0
58.36	25	2 1 3
42.46	24	1 1 3
41.03	22	0 3 3
65.87	21	1 7 3

Structure:
```
data_Nd2DySn3Pd3
_chemical_formula_sum 'Nd4 Dy2 Sn6 Pd6'
_cell_length_a 4.091
_cell_length_b 13.168
_cell_length_c 7.627
_cell_angle_alpha 90.00
_cell_angle_beta 90.00
_cell_angle_gamma 90.00
_symmetry_space_group_name_H-M 'A m m 2'
_symmetry_Int_Tables_number 38
loop_
_symmetry_equiv_pos_as_xyz
'x,y,z'
'-x,-y,z'
'-x,y,z'
'x,-y,z'
'x,y+1/2,z+1/2'
'-x,-y+1/2,z+1/2'
'-x,y+1/2,z+1/2'
'x,-y+1/2,z+1/2'
loop_
_atom_site_label
_atom_site_fract_x
_atom_site_fract_y
_atom_site_fract_z
Nd1 0.000 0.205 0.000
Dy1 0.000 0.000 0.387
Sn1 0.500 0.000 0.048
Sn2 0.500 0.126 0.666
Pd1 0.000 0.000 0.789
Pd2 0.500 0.162 0.296
```